Calculated powder diffraction line list
Compound: Cs2Rb4Hg2O
Radiation: Cu Kα, 1.54184 Å
Structure: a DFT-relaxed cell (PBE, Alexandria)
Neutral-atom scattering factors, no anomalous dispersion.

Largest 8 diffraction maxima, low angle first, 5 to 70 degrees two-theta:
- 25.12°, intensity 1000
- 28.16°, intensity 195
- 29.55°, intensity 356
- 41.27°, intensity 263
- 42.27°, intensity 127
- 48.03°, intensity 147
- 49.81°, intensity 283
- 51.57°, intensity 134

Atomic structure:
Unit cell a=8.760 b=8.760 c=8.760 alpha=121.57 beta=121.57 gamma=87.30
Element x y z (fractional)
Cs  0.227  0.227  0.000
Cs  0.773  0.773  0.000
Rb  0.229  0.229  0.458
Rb  0.229  0.771  0.000
Rb  0.771  0.229  0.000
Rb  0.771  0.771  0.542
Hg  0.250  0.750  0.500
Hg  0.750  0.250  0.500
O  0.000  0.000  0.000

---

Calculated powder diffraction line list
Compound: Cs2HgRhO4
Radiation: Cu Kα, 1.54184 Å
Structure: a DFT-relaxed cell (PBE, Alexandria)
Neutral-atom scattering factors, no anomalous dispersion.

Largest 8 diffraction maxima, low angle first, 5 to 70 degrees two-theta:
- 15.70°, intensity 429
- 16.72°, intensity 660
- 28.00°, intensity 696
- 28.89°, intensity 1000
- 30.53°, intensity 909
- 32.79°, intensity 525
- 37.30°, intensity 480
- 47.28°, intensity 512

Atomic structure:
Unit cell a=12.370 b=11.103 c=7.175 alpha=82.16 beta=62.77 gamma=35.07
Element x y z (fractional)
Cs  0.057  0.057  0.693
Cs  0.307  0.307  0.943
Cs  0.693  0.693  0.057
Cs  0.943  0.943  0.307
Hg  0.125  0.125  0.125
Hg  0.875  0.875  0.875
Rh  0.375  0.375  0.375
Rh  0.625  0.625  0.625
O  0.055  0.620  0.524
O  0.301  0.524  0.620
O  0.380  0.945  0.699
O  0.476  0.699  0.945
O  0.524  0.301  0.055
O  0.620  0.055  0.301
O  0.699  0.476  0.380
O  0.945  0.380  0.476

---

Calculated powder diffraction line list
Compound: CsHgS2O6
Radiation: Cu Kα, 1.54184 Å
Structure: a DFT-relaxed cell (PBE, Alexandria)
Neutral-atom scattering factors, no anomalous dispersion.

Largest 8 diffraction maxima, low angle first, 5 to 70 degrees two-theta:
- 10.02°, intensity 716
- 13.59°, intensity 591
- 14.77°, intensity 446
- 21.76°, intensity 326
- 23.27°, intensity 1000
- 27.37°, intensity 466
- 30.39°, intensity 591
- 31.46°, intensity 504

Atomic structure:
Unit cell a=8.856 b=8.856 c=5.688 alpha=90.78 beta=90.78 gamma=85.23
Element x y z (fractional)
Cs  0.173  0.827  0.750
Cs  0.827  0.173  0.250
Hg  0.493  0.507  0.250
Hg  0.507  0.493  0.750
S  0.148  0.303  0.785
S  0.303  0.148  0.285
S  0.697  0.852  0.715
S  0.852  0.697  0.215
O  0.002  0.756  0.242
O  0.155  0.465  0.745
O  0.201  0.273  0.178
O  0.244  0.998  0.258
O  0.273  0.201  0.678
O  0.465  0.155  0.245
O  0.535  0.845  0.755
O  0.727  0.799  0.322
O  0.756  0.002  0.742
O  0.799  0.727  0.822
O  0.845  0.535  0.255
O  0.998  0.244  0.758

---

Calculated powder diffraction line list
Compound: CsHg2Se2O6
Radiation: Cu Kα, 1.54184 Å
Structure: a DFT-relaxed cell (PBE, Alexandria)
Neutral-atom scattering factors, no anomalous dispersion.

Largest 8 diffraction maxima, low angle first, 5 to 70 degrees two-theta:
- 11.09°, intensity 852
- 23.23°, intensity 1000
- 23.52°, intensity 295
- 23.91°, intensity 617
- 31.05°, intensity 622
- 33.77°, intensity 449
- 35.92°, intensity 367
- 40.22°, intensity 300

Atomic structure:
Unit cell a=5.174 b=5.933 c=8.495 alpha=102.82 beta=101.87 gamma=103.22
Element x y z (fractional)
Cs  0.000  0.000  0.000
Hg  0.342  0.777  0.503
Hg  0.658  0.223  0.497
Se  0.277  0.465  0.768
Se  0.723  0.535  0.232
O  0.064  0.606  0.225
O  0.237  0.350  0.555
O  0.370  0.772  0.784
O  0.630  0.228  0.216
O  0.763  0.650  0.445
O  0.936  0.394  0.775

---

Calculated powder diffraction line list
Compound: Cs2SnHgO4
Radiation: Cu Kα, 1.54184 Å
Structure: a DFT-relaxed cell (PBE, Alexandria)
Neutral-atom scattering factors, no anomalous dispersion.

Largest 8 diffraction maxima, low angle first, 5 to 70 degrees two-theta:
- 26.64°, intensity 533
- 27.74°, intensity 480
- 28.43°, intensity 870
- 29.25°, intensity 1000
- 37.55°, intensity 251
- 47.63°, intensity 270
- 48.97°, intensity 224
- 49.21°, intensity 214

Atomic structure:
Unit cell a=9.004 b=8.314 c=6.444 alpha=90.00 beta=131.98 gamma=90.00
Element x y z (fractional)
Cs  0.000  0.000  0.000
Cs  0.000  0.239  0.500
Cs  0.500  0.500  0.000
Cs  0.500  0.739  0.500
Sn  0.000  0.720  0.500
Sn  0.500  0.220  0.500
Hg  0.000  0.522  0.000
Hg  0.500  0.022  0.000
O  0.131  0.566  0.416
O  0.217  0.830  0.852
O  0.283  0.330  0.148
O  0.369  0.066  0.584
O  0.631  0.066  0.416
O  0.717  0.330  0.852
O  0.783  0.830  0.148
O  0.869  0.566  0.584

---

Calculated powder diffraction line list
Compound: CsTi2HgO6
Radiation: Cu Kα, 1.54184 Å
Structure: a DFT-relaxed cell (PBE, Alexandria)
Neutral-atom scattering factors, no anomalous dispersion.

Largest 8 diffraction maxima, low angle first, 5 to 70 degrees two-theta:
- 16.07°, intensity 531
- 16.74°, intensity 375
- 21.55°, intensity 572
- 23.76°, intensity 1000
- 26.37°, intensity 428
- 28.84°, intensity 461
- 28.93°, intensity 407
- 30.64°, intensity 355

Atomic structure:
Unit cell a=8.449 b=8.449 c=6.062 alpha=100.59 beta=100.59 gamma=94.59
Element x y z (fractional)
Cs  0.106  0.894  0.750
Cs  0.894  0.106  0.250
Ti  0.209  0.372  0.818
Ti  0.372  0.209  0.318
Ti  0.628  0.791  0.682
Ti  0.791  0.628  0.182
Hg  0.292  0.708  0.250
Hg  0.708  0.292  0.750
O  0.009  0.273  0.753
O  0.208  0.593  0.916
O  0.273  0.009  0.253
O  0.283  0.327  0.545
O  0.327  0.283  0.045
O  0.407  0.792  0.584
O  0.593  0.208  0.416
O  0.673  0.717  0.955
O  0.717  0.673  0.455
O  0.727  0.991  0.747
O  0.792  0.407  0.084
O  0.991  0.727  0.247

---

Calculated powder diffraction line list
Compound: CsTiHg2O4
Radiation: Cu Kα, 1.54184 Å
Structure: a DFT-relaxed cell (PBE, Alexandria)
Neutral-atom scattering factors, no anomalous dispersion.

Largest 8 diffraction maxima, low angle first, 5 to 70 degrees two-theta:
- 20.61°, intensity 152
- 29.31°, intensity 469
- 30.27°, intensity 1000
- 41.93°, intensity 222
- 52.59°, intensity 432
- 54.37°, intensity 214
- 62.97°, intensity 117
- 68.91°, intensity 99

Atomic structure:
Unit cell a=6.094 b=6.094 c=8.107 alpha=90.00 beta=90.00 gamma=90.00
Element x y z (fractional)
Cs  0.000  0.000  0.000
Cs  0.500  0.500  0.500
Ti  0.000  0.000  0.500
Ti  0.500  0.500  0.000
Hg  0.000  0.500  0.250
Hg  0.000  0.500  0.750
Hg  0.500  0.000  0.250
Hg  0.500  0.000  0.750
O  0.174  0.174  0.365
O  0.174  0.826  0.635
O  0.326  0.326  0.865
O  0.326  0.674  0.135
O  0.674  0.326  0.135
O  0.674  0.674  0.865
O  0.826  0.174  0.635
O  0.826  0.826  0.365

---

Calculated powder diffraction line list
Compound: Cs4U3HgO12
Radiation: Cu Kα, 1.54184 Å
Structure: a DFT-relaxed cell (PBE, Alexandria)
Neutral-atom scattering factors, no anomalous dispersion.

Largest 8 diffraction maxima, low angle first, 5 to 70 degrees two-theta:
- 19.94°, intensity 118
- 28.35°, intensity 1000
- 40.52°, intensity 272
- 45.56°, intensity 58
- 50.19°, intensity 422
- 58.65°, intensity 178
- 62.59°, intensity 28
- 66.40°, intensity 195

Atomic structure:
Unit cell a=7.712 b=7.712 c=7.712 alpha=109.47 beta=109.47 gamma=109.47
Element x y z (fractional)
Cs  0.000  0.000  0.500
Cs  0.000  0.500  0.000
Cs  0.500  0.000  0.000
Cs  0.500  0.500  0.500
U  0.000  0.500  0.500
U  0.500  0.000  0.500
U  0.500  0.500  0.000
Hg  0.000  0.000  0.000
O  0.000  0.280  0.280
O  0.000  0.720  0.720
O  0.250  0.500  0.750
O  0.250  0.750  0.500
O  0.280  0.000  0.280
O  0.280  0.280  0.000
O  0.500  0.250  0.750
O  0.500  0.750  0.250
O  0.720  0.000  0.720
O  0.720  0.720  0.000
O  0.750  0.250  0.500
O  0.750  0.500  0.250